Starting from a PBE-relaxed structure, the powder diffractogram of Ac2Tb2Ho5 was simulated for Cu Kα X-rays.

Main lines, sorted by position (2θ = 5–70°):
2θ (°)	intensity
25.35	35.4
27.12	42.0
29.07	69.5
29.27	50.8
32.60	51.9
33.15	31.9
34.22	44.2
35.18	100.0
42.07	29.0
54.76	29.1

a b c (Å): 21.966 3.600 8.282
angles (deg): 90.00 98.79 90.00
Space group C2/m (No. 12)
One atom of each set of equivalent atoms:
Ac (0.180, 0.000, 0.135)
Tb (0.047, 0.500, 0.352)
Ho (0.000, 0.000, 0.000)
Ho (0.091, 0.000, 0.718)
Ho (0.190, 0.500, 0.533)

---

Starting from a PBE-relaxed structure, the powder diffractogram of Zn4CdSe4S was simulated for Cu Kα X-rays.

Main lines, sorted by position (2θ = 5–70°):
2θ (°)	intensity
22.24	1.8
26.76	100.0
28.17	2.3
32.12	3.3
44.38	60.6
44.53	11.9
52.48	14.3
52.67	28.9
64.39	3.6
64.72	7.5

a b c (Å): 4.078 20.349 5.788
angles (deg): 90.00 90.00 90.00
Space group Imm2 (No. 44)
One atom of each set of equivalent atoms:
Zn (0.000, 0.099, 0.000)
Zn (0.000, 0.297, 0.999)
Cd (0.000, 0.500, 0.020)
Se (0.000, 0.198, 0.746)
Se (0.000, 0.395, 0.744)
S (0.000, 0.000, 0.787)

---

Starting from a PBE-relaxed structure, the powder diffractogram of V7S8 was simulated for Cu Kα X-rays.

Main lines, sorted by position (2θ = 5–70°):
2θ (°)	intensity
14.68	3.0
16.07	7.3
21.83	7.9
31.78	3.1
32.48	26.7
35.81	45.7
44.51	100.0
56.64	10.3
57.94	34.0
61.45	9.4

a b c (Å): 6.3666 6.3666 6.0357
angles (deg): 90.00 90.00 120.00
Space group P-3m1 (No. 164)
One atom of each set of equivalent atoms:
V (0.0000, 0.0000, 0.0000)
V (0.0000, 0.5000, 0.0000)
V (0.0000, 0.5000, 0.5000)
S (0.1641, 0.3282, 0.7470)
S (0.3333, 0.6667, 0.2498)

---

Starting from a PBE-relaxed structure, the powder diffractogram of PaAgH6Rh was simulated for Cu Kα X-rays.

Main lines, sorted by position (2θ = 5–70°):
2θ (°)	intensity
21.98	11.8
30.32	100.0
38.55	46.0
41.97	11.9
47.87	3.8
49.82	25.8
58.30	27.9
64.71	23.3
69.50	9.5
69.75	8.0

a b c (Å): 4.6704 4.6704 4.3053
angles (deg): 90.00 90.00 120.00
Space group P-6m2 (No. 187)
One atom of each set of equivalent atoms:
Pa (0.0000, 0.0000, 0.0000)
Ag (0.3333, 0.6667, 0.5000)
H (0.5158, 0.0315, 0.2024)
Rh (0.6667, 0.3333, 0.5000)

---

Starting from a PBE-relaxed structure, the powder diffractogram of Lu3Ga10Ni was simulated for Cu Kα X-rays.

Main lines, sorted by position (2θ = 5–70°):
2θ (°)	intensity
30.44	26.3
34.41	16.9
34.65	38.7
35.21	100.0
35.55	17.6
35.96	84.0
36.46	19.5
43.02	50.8
44.14	35.7
63.34	24.5

a b c (Å): 15.527 4.205 9.861
angles (deg): 90.00 127.55 90.00
Space group Cm (No. 8)
One atom of each set of equivalent atoms:
Lu (0.000, 0.000, 0.000)
Lu (0.132, 0.500, 0.651)
Lu (0.314, 0.000, 0.309)
Ga (0.157, 0.500, 0.253)
Ga (0.160, 0.000, 0.905)
Ga (0.171, 0.000, 0.438)
Ga (0.307, 0.500, 0.604)
Ga (0.314, 0.000, 0.822)
Ga (0.316, 0.500, 0.033)
Ga (0.464, 0.000, 0.190)
Ga (0.467, 0.500, 0.592)
Ga (0.472, 0.000, 0.753)
Ga (0.480, 0.500, 0.358)
Ni (0.156, 0.500, 0.015)

---

Starting from a PBE-relaxed structure, the powder diffractogram of MgAg was simulated for Cu Kα X-rays.

Main lines, sorted by position (2θ = 5–70°):
2θ (°)	intensity
16.41	59.1
25.34	78.5
30.13	74.8
35.96	71.3
38.60	78.9
38.91	48.7
43.29	100.0
49.98	34.7
51.66	19.1
66.52	17.2

a b c (Å): 3.085 10.801 4.629
angles (deg): 90.00 90.00 90.00
Space group Cmcm (No. 63)
One atom of each set of equivalent atoms:
Mg (0.000, 0.159, 0.250)
Ag (0.000, 0.422, 0.250)